The following is a calculated PXRD pattern of CaVO3. It was derived from the PBE+U geometry in the Materials Project, using Cu Kα.

Top 10 peaks for 2θ from 10° to 90°, in order of rising 2θ:
- hkl 0 1 1, 2θ = 23.22°, rel. 23
- hkl 2 1 -1, 2θ = 32.95°, rel. 100
- hkl 2 1 1, 2θ = 33.15°, rel. 63
- hkl 0 2 0, 2θ = 33.30°, rel. 32
- hkl 4 0 0, 2θ = 47.33°, rel. 32
- hkl 0 2 2, 2θ = 47.55°, rel. 55
- hkl 4 0 -2, 2θ = 58.68°, rel. 19
- hkl 4 2 0, 2θ = 59.09°, rel. 31
- hkl 2 3 -1, 2θ = 59.29°, rel. 16
- hkl 4 2 -2, 2θ = 69.12°, rel. 19

Cell and atoms:
```
data_CaVO3
_chemical_formula_sum 'Ca4 V4 O12'
_symmetry_space_group_name_H-M 'P 1 21/c 1'
_symmetry_Int_Tables_number 14
_cell_length_a 7.6825
_cell_length_b 5.3815
_cell_length_c 5.4376
_cell_angle_alpha 90.00
_cell_angle_beta 90.45
_cell_angle_gamma 90.00
loop_
_symmetry_equiv_pos_as_xyz
'x,y,z'
'-x,-y,-z'
'-x,y+1/2,-z+1/2'
'x,-y+1/2,z+1/2'
loop_
_atom_site_label
_atom_site_type_symbol
_atom_site_fract_x
_atom_site_fract_y
_atom_site_fract_z
Ca1 Ca 0.2461 0.0060 0.4597
V1 V 0.0000 0.0000 0.0000
V2 V 0.5000 0.0000 0.0000
O1 O 0.0373 0.2081 0.7055
O2 O 0.2511 0.5749 0.5161
O3 O 0.4628 0.2009 0.7193
```